# AcSi3
Calculated PXRD pattern, Cu Kα X-rays. Input: a cell relaxed with GGA-PBE.
Neutral-atom scattering factors, no anomalous dispersion.

Largest 12 diffraction maxima, low angle first, 2θ = 10–90°:
d/Å	two_theta	intensity
5.651	15.7	204
3.585	24.8	1000
3.262	27.3	531
2.825	31.7	173
2.413	37.3	704
2.319	38.8	157
2.136	42.3	148
1.940	46.8	277
1.890	48.1	237
1.485	62.6	235
1.356	69.3	117
1.334	70.6	117

Structure:
a b c (Å): 6.525 6.525 4.638
angles (deg): 90.00 90.00 120.00
Fractional coordinates of all 8 atoms:
Ac 0.333 0.667 0.250
Ac 0.667 0.333 0.750
Si 0.128 0.256 0.750
Si 0.128 0.872 0.750
Si 0.256 0.128 0.250
Si 0.744 0.872 0.750
Si 0.872 0.128 0.250
Si 0.872 0.744 0.250


# Na4SeO5
Calculated PXRD pattern, Cu Kα X-rays. Input: a cell relaxed with GGA-PBE.
Neutral-atom scattering factors, no anomalous dispersion.

Largest 12 diffraction maxima, low angle first, 2θ = 10–90°:
d/Å	two_theta	intensity
5.135	17.3	259
4.636	19.1	432
4.539	19.6	1000
4.442	20.0	300
4.312	20.6	278
4.184	21.2	337
2.712	33.0	319
2.702	33.2	507
2.366	38.0	809
2.355	38.2	794
2.303	39.1	771
1.650	55.7	378

Structure:
a b c (Å): 5.677 10.004 10.028
angles (deg): 113.35 96.29 95.76
Fractional coordinates of all 40 atoms:
Na 0.000 0.000 0.000
Na 0.002 0.398 0.600
Na 0.007 0.806 0.203
Na 0.244 0.552 0.938
Na 0.253 0.944 0.545
Na 0.269 0.359 0.157
Na 0.280 0.167 0.363
Na 0.494 0.901 0.095
Na 0.500 0.500 0.500
Na 0.506 0.099 0.905
Na 0.720 0.833 0.637
Na 0.731 0.641 0.843
Na 0.747 0.056 0.455
Na 0.756 0.448 0.062
Na 0.993 0.194 0.797
Na 0.998 0.602 0.400
Se 0.213 0.780 0.755
Se 0.483 0.295 0.733
Se 0.517 0.705 0.267
Se 0.787 0.220 0.245
O 0.052 0.351 0.342
O 0.117 0.946 0.772
O 0.134 0.773 0.925
O 0.212 0.190 0.603
O 0.212 0.609 0.191
O 0.325 0.729 0.585
O 0.380 0.317 0.897
O 0.399 0.877 0.317
O 0.411 0.453 0.707
O 0.480 0.158 0.152
O 0.520 0.842 0.848
O 0.589 0.547 0.293
O 0.601 0.123 0.683
O 0.620 0.683 0.103
O 0.675 0.271 0.415
O 0.788 0.391 0.809
O 0.788 0.810 0.397
O 0.866 0.227 0.075
O 0.883 0.054 0.228
O 0.948 0.649 0.658


# Sr3La3Zn2RuO12
Calculated PXRD pattern, Cu Kα X-rays. Input: a cell relaxed with GGA-PBE.
Neutral-atom scattering factors, no anomalous dispersion.

Largest 12 diffraction maxima, low angle first, 2θ = 10–90°:
d/Å	two_theta	intensity
6.373	13.9	92
2.899	30.8	1000
2.804	31.9	699
2.147	42.1	103
2.124	42.6	120
2.106	42.9	141
1.983	45.8	358
1.694	54.1	98
1.637	56.2	269
1.634	56.3	92
1.402	66.7	103
1.254	75.9	102

Structure:
a b c (Å): 6.963 6.963 10.530
angles (deg): 123.45 123.45 47.52
Fractional coordinates of all 21 atoms:
Sr 0.000 0.000 0.000
Sr 0.047 0.047 0.662
Sr 0.334 0.334 0.659
La 0.374 0.374 0.309
La 0.653 0.653 0.309
La 0.726 0.726 0.009
Zn 0.033 0.033 0.327
Zn 0.356 0.356 0.992
Ru 0.689 0.689 0.660
O 0.016 0.526 0.822
O 0.192 0.688 0.164
O 0.193 0.193 0.009
O 0.207 0.207 0.334
O 0.359 0.843 0.493
O 0.526 0.016 0.822
O 0.533 0.533 0.666
O 0.546 0.546 0.008
O 0.688 0.192 0.164
O 0.830 0.830 0.308
O 0.843 0.359 0.493
O 0.843 0.843 0.649


# Pr3MgAl2
Calculated PXRD pattern, Cu Kα X-rays. Input: a cell relaxed with GGA-PBE.
Neutral-atom scattering factors, no anomalous dispersion.

Largest 12 diffraction maxima, low angle first, 2θ = 10–90°:
d/Å	two_theta	intensity
3.949	22.5	299
3.741	23.8	547
2.716	33.0	1000
2.645	33.9	478
2.198	41.1	253
1.871	48.7	171
1.746	52.4	110
1.691	54.3	118
1.673	54.9	114
1.582	58.3	182
1.541	60.1	368
1.358	69.2	105

Structure:
a b c (Å): 3.741 3.741 11.847
angles (deg): 90.00 90.00 90.00
Fractional coordinates of all 6 atoms:
Pr 0.000 0.000 0.000
Pr 0.000 0.000 0.321
Pr 0.000 0.000 0.679
Mg 0.500 0.500 0.500
Al 0.500 0.500 0.167
Al 0.500 0.500 0.833


# SnPNO4
Calculated PXRD pattern, Cu Kα X-rays. Input: a cell relaxed with GGA-PBE.
Neutral-atom scattering factors, no anomalous dispersion.

Largest 12 diffraction maxima, low angle first, 2θ = 10–90°:
d/Å	two_theta	intensity
4.431	20.0	342
4.368	20.3	1000
4.302	20.6	591
3.593	24.8	211
3.465	25.7	901
3.088	28.9	809
2.869	31.2	194
2.779	32.2	333
2.546	35.3	530
2.144	42.1	221
2.079	43.5	273
1.970	46.1	233

Structure:
a b c (Å): 5.183 8.862 8.891
angles (deg): 90.00 104.44 90.00
Fractional coordinates of all 28 atoms:
Sn 0.199 0.243 0.006
Sn 0.199 0.257 0.506
Sn 0.801 0.743 0.494
Sn 0.801 0.757 0.994
P 0.228 0.568 0.305
P 0.228 0.932 0.805
P 0.772 0.068 0.195
P 0.772 0.432 0.695
N 0.468 0.551 0.961
N 0.468 0.949 0.461
N 0.532 0.051 0.539
N 0.532 0.449 0.039
O 0.086 0.615 0.139
O 0.086 0.885 0.639
O 0.118 0.643 0.433
O 0.118 0.857 0.933
O 0.196 0.109 0.810
O 0.196 0.391 0.310
O 0.470 0.103 0.164
O 0.470 0.397 0.664
O 0.530 0.603 0.336
O 0.530 0.897 0.836
O 0.804 0.609 0.690
O 0.804 0.891 0.190
O 0.882 0.143 0.067
O 0.882 0.357 0.567
O 0.914 0.115 0.361
O 0.914 0.385 0.861


# HoTe3
Calculated PXRD pattern, Cu Kα X-rays. Input: a cell relaxed with GGA-PBE.
Neutral-atom scattering factors, no anomalous dispersion.

Largest 12 diffraction maxima, low angle first, 2θ = 10–90°:
d/Å	two_theta	intensity
3.259	27.4	405
3.048	29.3	216
2.894	30.9	1000
2.645	33.9	506
2.606	34.4	172
2.410	37.3	146
2.369	38.0	281
2.171	41.6	595
1.806	50.5	297
1.535	60.3	253
1.372	68.4	144
1.356	69.3	191

Structure:
a b c (Å): 13.217 13.217 4.341
angles (deg): 90.00 90.00 161.10
Fractional coordinates of all 8 atoms:
Ho 0.170 0.830 0.750
Ho 0.830 0.170 0.250
Te 0.076 0.924 0.250
Te 0.293 0.707 0.750
Te 0.424 0.576 0.250
Te 0.576 0.424 0.750
Te 0.707 0.293 0.250
Te 0.924 0.076 0.750


# Ti6Ga16Ir7
Calculated PXRD pattern, Cu Kα X-rays. Input: a cell relaxed with GGA-PBE.
Neutral-atom scattering factors, no anomalous dispersion.

Largest 12 diffraction maxima, low angle first, 2θ = 10–90°:
d/Å	two_theta	intensity
7.050	12.6	61
3.682	24.2	56
3.525	25.3	480
2.493	36.0	62
2.350	38.3	84
2.159	41.8	1000
2.064	43.9	61
1.841	49.5	320
1.526	60.7	141
1.401	66.8	131
1.246	76.4	236
1.175	82.0	117

Structure:
a b c (Å): 8.635 8.635 8.635
angles (deg): 60.00 60.00 60.00
Fractional coordinates of all 29 atoms:
Ti 0.196 0.196 0.804
Ti 0.196 0.804 0.196
Ti 0.196 0.804 0.804
Ti 0.804 0.196 0.196
Ti 0.804 0.196 0.804
Ti 0.804 0.804 0.196
Ga 0.131 0.623 0.623
Ga 0.147 0.147 0.147
Ga 0.147 0.147 0.560
Ga 0.147 0.560 0.147
Ga 0.377 0.377 0.377
Ga 0.377 0.377 0.869
Ga 0.377 0.869 0.377
Ga 0.440 0.853 0.853
Ga 0.560 0.147 0.147
Ga 0.623 0.131 0.623
Ga 0.623 0.623 0.131
Ga 0.623 0.623 0.623
Ga 0.853 0.440 0.853
Ga 0.853 0.853 0.440
Ga 0.853 0.853 0.853
Ga 0.869 0.377 0.377
Ir 0.000 0.000 0.500
Ir 0.000 0.500 0.000
Ir 0.000 0.500 0.500
Ir 0.500 0.000 0.000
Ir 0.500 0.000 0.500
Ir 0.500 0.500 0.000
Ir 0.500 0.500 0.500


# Nd3Cr
Calculated PXRD pattern, Cu Kα X-rays. Input: a cell relaxed with GGA-PBE.
Neutral-atom scattering factors, no anomalous dispersion.

Largest 12 diffraction maxima, low angle first, 2θ = 10–90°:
d/Å	two_theta	intensity
4.375	20.3	98
2.843	31.5	1000
2.550	35.2	185
2.422	37.1	319
1.756	52.1	239
1.712	53.5	110
1.523	60.8	149
1.467	63.4	262
1.422	65.7	118
1.138	85.3	115
1.128	86.2	56
1.114	87.6	55

Structure:
a b c (Å): 6.144 6.144 6.144
angles (deg): 133.57 133.57 67.75
Fractional coordinates of all 4 atoms:
Nd 0.000 0.000 0.000
Nd 0.250 0.750 0.500
Nd 0.750 0.250 0.500
Cr 0.500 0.500 0.000


# HfAlRh
Calculated PXRD pattern, Cu Kα X-rays. Input: a cell relaxed with GGA-PBE.
Neutral-atom scattering factors, no anomalous dispersion.

Largest 12 diffraction maxima, low angle first, 2θ = 10–90°:
d/Å	two_theta	intensity
8.218	10.8	289
4.579	19.4	162
3.071	29.1	234
2.678	33.5	204
2.652	33.8	239
2.357	38.2	557
2.351	38.3	184
2.312	39.0	169
2.243	40.2	204
2.227	40.5	1000
2.205	40.9	188
1.339	70.3	242

Structure:
a b c (Å): 8.218 5.304 5.304
angles (deg): 60.64 90.00 90.00
Fractional coordinates of all 12 atoms:
Hf 0.180 0.000 0.000
Hf 0.290 0.664 0.664
Hf 0.710 0.664 0.664
Hf 0.820 0.000 0.000
Al 0.244 0.326 0.326
Al 0.500 0.160 0.675
Al 0.500 0.675 0.160
Al 0.756 0.326 0.326
Rh 0.000 0.497 0.497
Rh 0.000 0.499 0.992
Rh 0.000 0.992 0.499
Rh 0.500 0.160 0.160


# CeSi3Ir
Calculated PXRD pattern, Cu Kα X-rays. Input: a cell relaxed with GGA-PBE.
Neutral-atom scattering factors, no anomalous dispersion.

Largest 12 diffraction maxima, low angle first, 2θ = 10–90°:
d/Å	two_theta	intensity
4.908	18.1	201
3.888	22.9	557
2.994	29.8	624
2.589	34.6	1000
2.556	35.1	395
2.117	42.7	451
1.859	49.0	152
1.781	51.3	160
1.639	56.1	507
1.436	65.0	172
1.295	73.0	194
1.105	88.5	196

Structure:
a b c (Å): 5.749 5.749 5.749
angles (deg): 136.78 136.78 62.77
Fractional coordinates of all 5 atoms:
Ce 0.000 0.000 0.000
Si 0.269 0.769 0.500
Si 0.417 0.417 0.000
Si 0.769 0.269 0.500
Ir 0.659 0.659 0.000


# PrAlPt
Calculated PXRD pattern, Cu Kα X-rays. Input: a cell relaxed with GGA-PBE.
Neutral-atom scattering factors, no anomalous dispersion.

Largest 12 diffraction maxima, low angle first, 2θ = 10–90°:
d/Å	two_theta	intensity
3.466	25.7	397
3.448	25.8	635
2.751	32.6	501
2.666	33.6	139
2.658	33.7	1000
2.304	39.1	163
2.276	39.6	320
2.260	39.9	372
2.171	41.6	154
2.055	44.1	270
1.893	48.1	152
1.521	60.9	147

Structure:
a b c (Å): 7.225 4.521 7.901
angles (deg): 90.00 90.00 90.00
Fractional coordinates of all 12 atoms:
Pr 0.028 0.250 0.182
Pr 0.472 0.750 0.682
Pr 0.528 0.250 0.318
Pr 0.972 0.750 0.818
Al 0.146 0.250 0.567
Al 0.354 0.750 0.067
Al 0.646 0.250 0.933
Al 0.854 0.750 0.433
Pt 0.215 0.750 0.389
Pt 0.285 0.250 0.889
Pt 0.715 0.750 0.111
Pt 0.785 0.250 0.611


# KLu
Calculated PXRD pattern, Cu Kα X-rays. Input: a cell relaxed with GGA-PBE.
Neutral-atom scattering factors, no anomalous dispersion.

Largest 12 diffraction maxima, low angle first, 2θ = 10–90°:
d/Å	two_theta	intensity
7.104	12.5	622
3.552	25.1	352
3.111	28.7	397
2.850	31.4	1000
2.340	38.5	369
1.884	48.3	299
1.796	50.8	150
1.741	52.6	113
1.603	57.5	207
1.542	60.0	103
1.519	61.0	148
1.160	83.3	123

Structure:
a b c (Å): 3.592 3.592 7.104
angles (deg): 90.00 90.00 120.00
Fractional coordinates of all 2 atoms:
K 0.000 0.000 0.000
Lu 0.667 0.333 0.500